CdIn2Hg: theoretical powder diffractogram (copper Kα), based on a cell relaxed with GGA-PBE.
Neutral-atom scattering factors, no anomalous dispersion.

Most intense lines, 5 to 70 degrees two-theta, by angle:
| Position (°2θ) | I (rel.) |
| --- | --- |
| 33.5 | 100 |
| 35.6 | 43 |
| 44.6 | 11 |
| 51.3 | 15 |
| 58.4 | 19 |
| 62.6 | 32 |

Structural model:
Cell: 3.563 3.563 8.123 Å, 90.00 90.00 90.00°
Space group P4mm (No. 99)
Unique sites:
Cd: 0.000 0.000 0.000 (multiplicity 1)
In: 0.000 0.000 0.483 (multiplicity 1)
In: 0.500 0.500 0.750 (multiplicity 1)
Hg: 0.500 0.500 0.235 (multiplicity 1)